For Ni14IrW, a structure optimized by DFT (GGA-PBE) gives the computed XRD peak list in this record (λ = 1.5418 Å (Cu Kα)).
Neutral-atom scattering factors, no anomalous dispersion.

Peak list (10 most intense, 5° ≤ 2θ ≤ 70°, most intense first)
h k l  d/Å  2θ/deg  I/Imax
2 2 2  1.946  46.7  100
1 2 2  2.133  42.4  70
4 0 0  2.058  44.0  57
1 0 0  8.231  10.7  51
2 0 4  1.935  46.9  48
1 0 4  2.119  42.7  35
3 2 2  1.720  53.2  34
1 0 2  3.871  23.0  21
3 0 4  1.713  53.5  17
0 0 2  4.386  20.2  14

Structure:
Lattice parameters (Å, degrees): 8.2311 5.1115 8.7721 90.00 90.00 90.00
Space group Amm2 (No. 38)
One atom of each set of equivalent atoms:
Ni1 0.0000 0.0000 0.0000 x2
Ni2 0.0000 0.0000 0.4998 x2
Ni3 0.0000 0.2500 0.2496 x4
Ni4 0.2455 0.2488 0.4192 x8
Ni5 0.2456 0.0000 0.6677 x4
Ni6 0.2476 0.0000 0.1687 x4
Ni7 0.5000 0.2498 0.0847 x4
Ir1 0.5000 0.0000 0.8344 x2
W1 0.5000 0.0000 0.3350 x2



For Y8NiIr2, a structure optimized by DFT (GGA-PBE) gives the computed XRD peak list in this record (λ = 1.5418 Å (Cu Kα)).
Neutral-atom scattering factors, no anomalous dispersion.

Peak list (10 most intense, 5° ≤ 2θ ≤ 70°, most intense first)
h k l  d/Å  2θ/deg  I/Imax
1 3 1  2.897  30.9  100
0 0 1  5.732  15.5  65
1 5 -1  2.251  40.0  49
3 1 -1  2.720  32.9  49
0 2 2  2.598  34.5  45
2 2 -2  2.539  35.4  38
3 3 0  2.243  40.2  35
0 4 1  2.711  33.0  33
3 3 -1  2.306  39.1  32
2 2 0  3.365  26.5  32

Structure:
Lattice parameters (Å, degrees): 8.4732 12.3051 6.0422 90.00 108.42 90.00
Space group Cm (No. 8)
One atom of each set of equivalent atoms:
Y1 0.0000 0.0000 0.0000 x2
Y2 0.0637 0.3678 0.8049 x4
Y3 0.1478 0.1322 0.5881 x4
Y4 0.2178 0.5000 0.3796 x2
Y5 0.3621 0.2109 0.1887 x4
Ni1 0.3620 0.0000 0.0064 x2
Ir1 0.3537 0.3143 0.6907 x4



For Y3Ni2Ir, a structure optimized by DFT (GGA-PBE) gives the computed XRD peak list in this record (λ = 1.5418 Å (Cu Kα)).
Neutral-atom scattering factors, no anomalous dispersion.

Peak list (10 most intense, 5° ≤ 2θ ≤ 70°, most intense first)
h k l  d/Å  2θ/deg  I/Imax
3 1 2  2.480  36.2  100
0 1 3  2.774  32.3  93
2 1 4  2.150  42.0  60
1 0 1  7.969  11.1  54
4 1 1  2.265  39.8  52
0 2 0  2.044  44.3  52
1 0 2  5.055  17.5  50
2 0 1  5.025  17.7  41
3 0 5  1.937  46.9  41
2 1 2  2.853  31.3  34

Structure:
Lattice parameters (Å, degrees): 11.2129 4.0885 11.3274 90.00 90.00 90.00
Space group Pnma (No. 62)
One atom of each set of equivalent atoms:
Y1 0.0550 0.2500 0.1226 x4
Y2 0.1188 0.7500 0.5577 x4
Y3 0.2082 0.2500 0.8016 x4
Ni1 0.0191 0.7500 0.3054 x4
Ni2 0.1873 0.7500 0.9974 x4
Ir1 0.1300 0.2500 0.3712 x4



For YNi5Ir, a structure optimized by DFT (GGA-PBE) gives the computed XRD peak list in this record (λ = 1.5418 Å (Cu Kα)).
Neutral-atom scattering factors, no anomalous dispersion.

Peak list (10 most intense, 5° ≤ 2θ ≤ 70°, most intense first)
h k l  d/Å  2θ/deg  I/Imax
3 1 1  2.254  40.0  100
2 2 1  2.027  44.7  92
2 1 4  1.927  47.2  91
1 2 3  1.901  47.8  79
1 0 4  2.364  38.1  77
2 1 3  2.247  40.1  69
0 2 0  2.433  36.9  66
3 1 2  2.098  43.1  59
1 1 3  2.583  34.7  53
4 0 1  1.936  46.9  48

Structure:
Lattice parameters (Å, degrees): 7.8963 4.8657 9.9125 90.00 90.00 90.00
Space group Pnma (No. 62)
One atom of each set of equivalent atoms:
Y1 0.2437 0.2500 0.0596 x4
Ni1 0.0606 0.7500 0.0927 x4
Ni2 0.0674 0.0056 0.3083 x8
Ni3 0.0992 0.2500 0.5204 x4
Ni4 0.1813 0.2500 0.7582 x4
Ir1 0.1478 0.7500 0.8520 x4



For Zn4Ni2Ir, a structure optimized by DFT (GGA-PBE) gives the computed XRD peak list in this record (λ = 1.5418 Å (Cu Kα)).
Neutral-atom scattering factors, no anomalous dispersion.

Peak list (10 most intense, 5° ≤ 2θ ≤ 70°, most intense first)
h k l  d/Å  2θ/deg  I/Imax
2 0 2  2.103  43.0  100
1 0 1  4.206  21.1  61
2 2 0  1.998  45.4  43
2 1 1  2.345  38.4  27
4 0 0  1.413  66.1  13
0 0 4  1.574  58.6  10
2 1 3  1.615  57.0  9
1 0 3  1.968  46.1  8
3 2 1  1.521  60.9  7
3 0 1  1.805  50.6  6

Structure:
Lattice parameters (Å, degrees): 5.6512 5.6512 6.2965 90.00 90.00 90.00
Space group I4/mmm (No. 139)
One atom of each set of equivalent atoms:
Zn1 0.2500 0.2500 0.2500 x8
Ni1 0.0000 0.5000 0.0000 x4
Ir1 0.0000 0.0000 0.0000 x2



For Zn8Ni2Ir, a structure optimized by DFT (GGA-PBE) gives the computed XRD peak list in this record (λ = 1.5418 Å (Cu Kα)).
Neutral-atom scattering factors, no anomalous dispersion.

Peak list (10 most intense, 5° ≤ 2θ ≤ 70°, most intense first)
h k l  d/Å  2θ/deg  I/Imax
5 1 -1  2.197  41.1  100
1 1 2  2.162  41.8  98
4 0 -3  2.013  45.0  38
0 2 0  1.930  47.1  36
6 0 1  1.749  52.3  23
4 2 -3  1.393  67.2  22
2 0 -1  5.354  16.6  11
0 0 1  5.787  15.3  11
1 1 0  3.686  24.1  7
2 0 0  6.199  14.3  7

Structure:
Lattice parameters (Å, degrees): 13.3834 3.8608 6.2471 90.00 112.12 90.00
Space group C2/m (No. 12)
One atom of each set of equivalent atoms:
Zn1 0.0430 0.0000 0.2311 x4
Zn2 0.1072 0.5000 0.9561 x4
Zn3 0.1446 0.0000 0.7004 x4
Zn4 0.1799 0.5000 0.4067 x4
Ni1 0.2258 0.0000 0.1525 x4
Ir1 0.0000 0.5000 0.5000 x2



For Zn2Ni8Ir, a structure optimized by DFT (GGA-PBE) gives the computed XRD peak list in this record (λ = 1.5418 Å (Cu Kα)).
Neutral-atom scattering factors, no anomalous dispersion.

Peak list (10 most intense, 5° ≤ 2θ ≤ 70°, most intense first)
h k l  d/Å  2θ/deg  I/Imax
0 4 1  2.048  44.2  100
3 1 1  2.014  45.0  95
3 3 0  1.951  46.6  45
0 0 2  1.909  47.6  40
3 3 2  1.365  68.8  32
1 1 0  5.852  15.1  24
2 0 0  3.668  24.3  24
0 2 0  4.852  18.3  19
1 1 1  3.198  27.9  19
2 0 1  2.645  33.9  18

Structure:
Lattice parameters (Å, degrees): 7.3358 9.7037 3.8188 90.00 90.00 90.00
Space group Cmmm (No. 65)
One atom of each set of equivalent atoms:
Zn1 0.0000 0.1234 0.0000 x4
Ni1 0.0000 0.2531 0.5000 x4
Ni2 0.1662 0.0000 0.5000 x4
Ni3 0.1684 0.3689 0.0000 x8
Ir1 0.0000 0.5000 0.5000 x2



For Zn5NiIr, a structure optimized by DFT (GGA-PBE) gives the computed XRD peak list in this record (λ = 1.5418 Å (Cu Kα)).
Neutral-atom scattering factors, no anomalous dispersion.

Peak list (10 most intense, 5° ≤ 2θ ≤ 70°, most intense first)
h k l  d/Å  2θ/deg  I/Imax
2 0 0  4.572  19.4  100
1 1 -2  3.664  24.3  83
1 3 -2  2.162  41.8  61
4 0 0  2.286  39.4  57
1 3 2  1.924  47.3  35
2 0 -4  2.094  43.2  35
0 2 0  3.786  23.5  34
3 3 -2  1.987  45.7  32
0 0 2  3.695  24.1  28
1 1 0  5.832  15.2  26

Structure:
Lattice parameters (Å, degrees): 10.3948 7.5729 8.4023 90.00 118.40 90.00
Space group C2/c (No. 15)
One atom of each set of equivalent atoms:
Zn1 0.0000 0.1527 0.2500 x4
Zn2 0.0106 0.3279 0.9731 x8
Zn3 0.2423 0.4320 0.8958 x8
Ni1 0.0000 0.4665 0.2500 x4
Ir1 0.0000 0.0000 0.0000 x4



For Zr3NiIr, a structure optimized by DFT (GGA-PBE) gives the computed XRD peak list in this record (λ = 1.5418 Å (Cu Kα)).
Neutral-atom scattering factors, no anomalous dispersion.

Peak list (10 most intense, 5° ≤ 2θ ≤ 70°, most intense first)
h k l  d/Å  2θ/deg  I/Imax
0 2 2  2.254  40.0  100
3 1 -2  2.585  34.7  73
0 0 1  7.238  12.2  39
2 0 2  2.285  39.4  38
2 2 0  2.369  38.0  33
6 2 -2  1.358  69.2  33
2 0 0  4.166  21.3  33
2 0 -4  2.009  45.1  31
4 0 0  2.083  43.4  21
3 1 0  2.502  35.9  20

Structure:
Lattice parameters (Å, degrees): 9.2504 5.7609 8.0358 90.00 115.75 90.00
Space group C2/m (No. 12)
One atom of each set of equivalent atoms:
Zr1 0.9996 0.0000 0.2252 x4
Zr2 0.1931 0.5000 0.8376 x4
Zr3 0.2037 0.5000 0.3583 x4
Ni1 0.0000 0.3016 0.0000 x4
Ir1 0.0000 0.2615 0.5000 x4



For Zr5Ni2Ir, a structure optimized by DFT (GGA-PBE) gives the computed XRD peak list in this record (λ = 1.5418 Å (Cu Kα)).
Neutral-atom scattering factors, no anomalous dispersion.

Peak list (10 most intense, 5° ≤ 2θ ≤ 70°, most intense first)
h k l  d/Å  2θ/deg  I/Imax
2 1 3  2.489  36.1  100
2 0 4  2.394  37.6  67
3 1 0  2.086  43.4  65
1 1 4  2.790  32.1  45
2 2 0  2.332  38.6  25
1 1 2  3.875  23.0  21
3 3 4  1.419  65.8  17
1 1 0  4.663  19.0  16
4 1 3  1.512  61.3  13
1 1 6  2.078  43.6  12

Structure:
Lattice parameters (Å, degrees): 6.5951 6.5951 13.9262 90.00 90.00 90.00
Space group I4/mcm (No. 140)
One atom of each set of equivalent atoms:
Zr1 0.0000 0.0000 0.0000 x4
Zr2 0.1696 0.3304 0.1498 x16
Ni1 0.1281 0.3719 0.5000 x8
Ir1 0.0000 0.0000 0.2500 x4



For NpPaIrOs, a structure optimized by DFT (GGA-PBE) gives the computed XRD peak list in this record (λ = 1.5418 Å (Cu Kα)).
Neutral-atom scattering factors, no anomalous dispersion.

Peak list (5 most intense, 5° ≤ 2θ ≤ 70°, most intense first)
h k l  d/Å  2θ/deg  I/Imax
2 2 0  2.424  37.1  100
4 2 2  1.400  66.9  37
4 0 0  1.714  53.5  18
2 0 0  3.428  26.0  1
4 2 0  1.533  60.4  1

Structure:
Lattice parameters (Å, degrees): 6.8562 6.8562 6.8562 90.00 90.00 90.00
Space group F-43m (No. 216)
One atom of each set of equivalent atoms:
Np1 0.0000 0.0000 0.0000 x4
Pa1 0.0000 0.0000 0.5000 x4
Ir1 0.2500 0.2500 0.7500 x4
Os1 0.2500 0.2500 0.2500 x4



For NpPIr3, a structure optimized by DFT (GGA-PBE) gives the computed XRD peak list in this record (λ = 1.5418 Å (Cu Kα)).
Neutral-atom scattering factors, no anomalous dispersion.

Peak list (10 most intense, 5° ≤ 2θ ≤ 70°, most intense first)
h k l  d/Å  2θ/deg  I/Imax
1 1 2  2.468  36.4  100
2 0 0  1.969  46.1  34
0 0 4  2.667  33.6  18
1 0 3  2.639  34.0  17
2 0 4  1.584  58.2  15
1 0 5  1.876  48.5  14
2 2 0  1.392  67.2  11
1 1 4  1.926  47.2  10
2 1 5  1.358  69.2  10
1 1 6  1.498  61.9  8

Structure:
Lattice parameters (Å, degrees): 3.9378 3.9378 10.6667 90.00 90.00 90.00
Space group I4mm (No. 107)
One atom of each set of equivalent atoms:
Np1 0.0000 0.0000 0.0000 x2
P1 0.0000 0.0000 0.3615 x2
Ir1 0.0000 0.0000 0.5717 x2
Ir2 0.0000 0.5000 0.2445 x4